Record 1
Structure and computed XRD peak list of CsKZnSe2 (a crystal structure in Alexandria, relaxed with GGA-PBE; Cu Kα, 1.54184 Å).
Peak positions follow from Bragg's law for the DFT cell and can differ from measured ones.

Structural model:
Cell lengths 5.848, 8.321, 6.917 Å; angles 90.00, 90.00, 90.00 degrees
Element x y z (fractional)
Cs  0.250  0.000  0.224
Cs  0.750  0.000  0.776
K  0.250  0.500  0.413
K  0.750  0.500  0.587
Zn  0.000  0.500  0.000
Zn  0.500  0.500  0.000
Se  0.250  0.288  0.817
Se  0.250  0.712  0.817
Se  0.750  0.288  0.183
Se  0.750  0.712  0.183

Main lines, low angle first (2θ from 10° to 90°):
Position (°2θ)  intensity
12.80  34
22.60  49
27.94  26
29.34  100
30.57  19
40.39  21
41.75  19
43.54  24
45.05  14
53.58  18

Record 2
Structure and computed XRD peak list of KPa2Se4 (a crystal structure in Alexandria, relaxed with GGA-PBE; Cu Kα, 1.54184 Å).
Peak positions follow from Bragg's law for the DFT cell and can differ from measured ones.

Structural model:
Cell lengths 8.683, 8.683, 8.683 Å; angles 117.90, 117.90, 93.67 degrees
Element x y z (fractional)
K  0.000  0.000  0.000
K  0.750  0.250  0.500
Pa  0.374  0.125  0.749
Pa  0.375  0.626  0.751
Pa  0.376  0.625  0.251
Pa  0.875  0.624  0.249
Se  0.133  0.840  0.706
Se  0.134  0.427  0.294
Se  0.160  0.866  0.293
Se  0.177  0.384  0.794
Se  0.573  0.867  0.707
Se  0.590  0.383  0.206
Se  0.616  0.410  0.793
Se  0.617  0.823  0.207

Main lines, low angle first (2θ from 10° to 90°):
Position (°2θ)  intensity
12.38  100
23.44  37
24.58  26
28.18  58
30.09  28
36.97  35
40.28  25
41.69  50
42.98  14
51.08  20

Record 3
Structure and computed XRD peak list of LiSbP2O7 (a crystal structure in Alexandria, relaxed with GGA-PBE; Cu Kα, 1.54184 Å).
Peak positions follow from Bragg's law for the DFT cell and can differ from measured ones.

Structural model:
Cell lengths 4.937, 8.996, 7.558 Å; angles 90.00, 105.76, 90.00 degrees
Element x y z (fractional)
Li  0.202  0.000  0.153
Li  0.798  0.500  0.847
Sb  0.200  0.349  0.223
Sb  0.800  0.849  0.777
P  0.219  0.037  0.579
P  0.417  0.668  0.073
P  0.583  0.168  0.927
P  0.781  0.537  0.421
O  0.070  0.522  0.383
O  0.204  0.086  0.386
O  0.230  0.524  0.041
O  0.242  0.808  0.056
O  0.386  0.890  0.637
O  0.387  0.163  0.053
O  0.393  0.166  0.715
O  0.607  0.666  0.285
O  0.613  0.663  0.947
O  0.614  0.390  0.363
O  0.758  0.308  0.944
O  0.770  0.024  0.959
O  0.796  0.586  0.614
O  0.930  0.022  0.617

Main lines, low angle first (2θ from 10° to 90°):
Position (°2θ)  intensity
15.67  100
19.34  12
21.15  23
21.74  15
25.01  23
27.77  34
28.34  28
31.64  20
32.29  15
37.86  13

Record 4
Structure and computed XRD peak list of Mg5Tl6Pb2 (a crystal structure in Alexandria, relaxed with GGA-PBE; Cu Kα, 1.54184 Å).
Peak positions follow from Bragg's law for the DFT cell and can differ from measured ones.

Structural model:
Cell lengths 10.940, 18.449, 3.516 Å; angles 90.00, 90.00, 90.00 degrees
Element x y z (fractional)
Mg  0.000  0.000  0.000
Mg  0.093  0.268  0.000
Mg  0.198  0.553  0.000
Mg  0.302  0.053  0.000
Mg  0.407  0.768  0.000
Mg  0.500  0.500  0.000
Mg  0.593  0.232  0.000
Mg  0.698  0.947  0.000
Mg  0.802  0.447  0.000
Mg  0.907  0.732  0.000
Tl  0.038  0.414  0.500
Tl  0.088  0.127  0.500
Tl  0.199  0.890  0.000
Tl  0.301  0.390  0.000
Tl  0.412  0.627  0.500
Tl  0.462  0.914  0.500
Tl  0.538  0.086  0.500
Tl  0.588  0.373  0.500
Tl  0.699  0.610  0.000
Tl  0.801  0.110  0.000
Tl  0.912  0.873  0.500
Tl  0.962  0.586  0.500
Pb  0.156  0.735  0.500
Pb  0.344  0.235  0.500
Pb  0.656  0.765  0.500
Pb  0.844  0.265  0.500

Main lines, low angle first (2θ from 10° to 90°):
Position (°2θ)  intensity
21.74  33
28.37  41
29.04  30
30.21  34
33.11  46
33.63  100
34.58  27
35.02  24
36.08  53
39.04  33

Record 5
Structure and computed XRD peak list of Ti2Tl2Te6Pd (a crystal structure in Alexandria, relaxed with GGA-PBE; Cu Kα, 1.54184 Å).
Peak positions follow from Bragg's law for the DFT cell and can differ from measured ones.

Structural model:
Cell lengths 6.831, 6.831, 8.523 Å; angles 98.26, 98.26, 119.22 degrees
Element x y z (fractional)
Ti  0.191  0.809  0.000
Ti  0.809  0.191  0.000
Tl  0.345  0.655  0.500
Tl  0.655  0.345  0.500
Te  0.084  0.407  0.792
Te  0.219  0.219  0.171
Te  0.407  0.084  0.792
Te  0.593  0.916  0.208
Te  0.781  0.781  0.829
Te  0.916  0.593  0.208
Pd  0.500  0.500  0.000

Main lines, low angle first (2θ from 10° to 90°):
Position (°2θ)  intensity
15.34  18
29.50  49
30.04  100
31.84  28
32.88  16
39.37  32
39.58  18
45.65  34
46.22  15
55.81  22

Record 6
Structure and computed XRD peak list of TbPmCu4 (a crystal structure in Alexandria, relaxed with GGA-PBE; Cu Kα, 1.54184 Å).
Peak positions follow from Bragg's law for the DFT cell and can differ from measured ones.

Structural model:
Cell lengths 5.521, 5.521, 5.521 Å; angles 133.94, 101.66, 95.96 degrees
Element x y z (fractional)
Tb  0.000  0.000  0.000
Pm  0.418  0.918  0.500
Cu  0.425  0.626  0.799
Cu  0.600  0.296  0.303
Cu  0.827  0.626  0.201
Cu  0.993  0.296  0.697

Main lines, low angle first (2θ from 10° to 90°):
Position (°2θ)  intensity
23.86  19
34.43  33
35.24  100
35.39  41
40.69  15
41.83  32
42.23  44
55.92  22
58.40  15
68.40  18

Record 7
Structure and computed XRD peak list of Sm2ZnPb (a crystal structure in Alexandria, relaxed with GGA-PBE; Cu Kα, 1.54184 Å).
Peak positions follow from Bragg's law for the DFT cell and can differ from measured ones.

Structural model:
Cell lengths 6.273, 4.433, 8.646 Å; angles 90.00, 110.63, 90.00 degrees
Element x y z (fractional)
Sm  0.204  0.250  0.440
Sm  0.219  0.250  0.916
Sm  0.781  0.750  0.084
Sm  0.796  0.750  0.560
Zn  0.346  0.750  0.709
Zn  0.654  0.250  0.291
Pb  0.333  0.750  0.210
Pb  0.667  0.250  0.790

Main lines, low angle first (2θ from 10° to 90°):
Position (°2θ)  intensity
22.88  15
29.86  100
30.45  27
30.95  13
36.72  31
36.92  33
37.14  33
40.71  27
41.79  23
59.76  16

Record 8
Structure and computed XRD peak list of TbZr11 (a crystal structure in Alexandria, relaxed with GGA-PBE; Cu Kα, 1.54184 Å).
Peak positions follow from Bragg's law for the DFT cell and can differ from measured ones.

Structural model:
Cell lengths 10.232, 10.232, 3.169 Å; angles 90.00, 90.00, 120.00 degrees
Element x y z (fractional)
Tb  0.000  0.000  0.000
Zr  0.000  0.500  0.000
Zr  0.175  0.350  0.500
Zr  0.175  0.825  0.500
Zr  0.333  0.667  0.000
Zr  0.350  0.175  0.500
Zr  0.500  0.000  0.000
Zr  0.500  0.500  0.000
Zr  0.650  0.825  0.500
Zr  0.667  0.333  0.000
Zr  0.825  0.175  0.500
Zr  0.825  0.650  0.500

Main lines, low angle first (2θ from 10° to 90°):
Position (°2θ)  intensity
33.25  32
34.80  58
35.08  100
41.80  18
50.25  19
55.68  14
62.75  19
62.93  16
69.82  25
74.13  10

Record 9
Structure and computed XRD peak list of BaCd2W (a crystal structure in Alexandria, relaxed with GGA-PBE; Cu Kα, 1.54184 Å).
Peak positions follow from Bragg's law for the DFT cell and can differ from measured ones.

Structural model:
Cell lengths 11.254, 11.254, 11.254 Å; angles 15.90, 15.90, 15.90 degrees
Element x y z (fractional)
Ba  0.000  0.000  0.000
Cd  0.239  0.239  0.239
Cd  0.761  0.761  0.761
W  0.500  0.500  0.500

Main lines, low angle first (2θ from 10° to 90°):
Position (°2θ)  intensity
15.96  8
32.23  31
34.98  100
39.83  63
45.01  8
55.77  15
59.37  22
69.18  20
70.80  13
73.89  10

Record 10
Structure and computed XRD peak list of Ag2Ge2As (a crystal structure in Alexandria, relaxed with GGA-PBE; Cu Kα, 1.54184 Å).
Peak positions follow from Bragg's law for the DFT cell and can differ from measured ones.

Structural model:
Cell lengths 6.616, 6.616, 6.616 Å; angles 143.74, 143.74, 52.21 degrees
Element x y z (fractional)
Ag  0.250  0.750  0.500
Ag  0.750  0.250  0.500
Ge  0.101  0.101  0.000
Ge  0.899  0.899  0.000
As  0.500  0.500  0.000

Main lines, low angle first (2θ from 10° to 90°):
Position (°2θ)  intensity
14.91  17
30.09  9
31.34  17
34.31  100
43.53  31
43.99  63
63.97  27
74.64  19
80.57  10
88.98  11

Record 11
Structure and computed XRD peak list of RbFeBr3 (a crystal structure in Alexandria, relaxed with GGA-PBE; Cu Kα, 1.54184 Å).
Peak positions follow from Bragg's law for the DFT cell and can differ from measured ones.

Structural model:
Cell lengths 4.354, 6.250, 6.257 Å; angles 92.53, 90.06, 90.03 degrees
Element x y z (fractional)
Rb  0.000  0.000  0.000
Fe  0.497  0.566  0.436
Br  0.497  0.946  0.520
Br  0.500  0.483  0.057
Br  0.998  0.431  0.572

Main lines, low angle first (2θ from 10° to 90°):
Position (°2θ)  intensity
24.93  21
28.50  100
28.59  38
29.11  46
41.48  18
41.79  16
48.46  14
50.15  27
51.15  28
51.34  21